(1)
Theoretical X-ray diffraction stick pattern of PrNd2Dy7 for Cu Kα (weighted mean of Kα1 and Kα2), from a structure optimized by DFT (PBE).

Atomic structure:
Cell: 6.2013 7.1665 8.0247 Å, 77.01 75.12 73.40°
Fractional positions:
Pr (0.0000, 0.0000, 0.0000)
Nd (0.2015, 0.7979, 0.5995)
Nd (0.7985, 0.2021, 0.4005)
Dy (0.0000, 0.5000, 0.0000)
Dy (0.1998, 0.3012, 0.6004)
Dy (0.4001, 0.1009, 0.1993)
Dy (0.4008, 0.5990, 0.1988)
Dy (0.5992, 0.4010, 0.8012)
Dy (0.5999, 0.8991, 0.8007)
Dy (0.8002, 0.6988, 0.3996)

Most intense lines, 15° ≤ 2θ ≤ 90°, low angle first:
- 2θ = 30.5°, I 1000
- 2θ = 35.4°, I 339
- 2θ = 35.5°, I 168
- 2θ = 50.9°, I 181
- 2θ = 51.0°, I 180
- 2θ = 60.5°, I 180
- 2θ = 60.6°, I 143
- 2θ = 60.7°, I 107
- 2θ = 63.5°, I 62
- 2θ = 83.0°, I 89

(2)
Theoretical X-ray diffraction stick pattern of Ti5Al4V for Cu Kα (weighted mean of Kα1 and Kα2), from a structure optimized by DFT (PBE).

Atomic structure:
Cell: 6.6842 6.6842 6.6842 Å, 96.09 96.09 141.99°
Fractional positions:
Ti (0.0000, 0.0000, 0.0000)
Ti (0.3142, 0.3142, 0.6285)
Ti (0.3142, 0.6858, 0.0000)
Ti (0.6858, 0.3142, 0.0000)
Ti (0.6858, 0.6858, 0.3715)
Al (0.0000, 0.3229, 0.3229)
Al (0.0000, 0.6771, 0.6771)
Al (0.3229, 0.0000, 0.3229)
Al (0.6771, 0.0000, 0.6771)
V (0.5000, 0.5000, 0.0000)

Most intense lines, 15° ≤ 2θ ≤ 90°, low angle first:
- 2θ = 28.2°, I 196
- 2θ = 36.5°, I 1000
- 2θ = 41.5°, I 337
- 2θ = 41.9°, I 183
- 2θ = 42.9°, I 530
- 2θ = 61.2°, I 341
- 2θ = 62.3°, I 140
- 2θ = 72.4°, I 118
- 2θ = 74.5°, I 150
- 2θ = 77.7°, I 141